For Li4V3Cr3Cu2O16, a structure optimized by DFT (GGA+U) gives the calculated powder diffraction line list in this record (Cu Kα X-rays).
Lines closer than 0.1° are merged.

a b c (Å): 5.8387 5.8446 9.7510
angles (deg): 92.67 90.62 119.35
Space group P1 (No. 1)
Asymmetric unit:
Li 0.0000 0.0000 0.0000 x1
Li 0.0062 0.9817 0.5027 x1
Li 0.2988 0.6228 0.0929 x1
Li 0.6287 0.2904 0.6007 x1
V 0.1219 0.7812 0.7848 x1
V 0.3103 0.0837 0.2925 x1
V 0.7727 0.6082 0.2685 x1
Cr 0.1534 0.3107 0.7823 x1
Cr 0.6379 0.8147 0.7779 x1
Cr 0.8323 0.1459 0.2824 x1
Cu 0.3331 0.6294 0.5118 x1
Cu 0.6536 0.3000 0.9946 x1
O 0.1652 0.8103 0.3918 x1
O 0.1756 0.2887 0.3901 x1
O 0.3087 0.1270 0.8890 x1
O 0.3132 0.6603 0.8897 x1
O 0.4382 0.9233 0.6563 x1
O 0.4547 0.4813 0.6625 x1
O 0.4822 0.9844 0.1754 x1
O 0.4939 0.4460 0.1573 x1
O 0.6511 0.3126 0.3870 x1
O 0.6867 0.8091 0.3875 x1
O 0.8306 0.1425 0.8937 x1
O 0.8386 0.6703 0.8897 x1
O 0.9436 0.4455 0.1638 x1
O 0.9773 0.9580 0.6832 x1
O 0.9917 0.9520 0.1839 x1
O 0.9966 0.4852 0.6691 x1

Top 6 peaks for 10 to 80 degrees two-theta, sorted by position:
| 2θ/deg | d/Å | I/Imax |
| --- | --- | --- |
| 18.2 | 4.867 | 100 |
| 19.7 | 4.515 | 39 |
| 20.0 | 4.438 | 68 |
| 36.0 | 2.494 | 35 |
| 36.6 | 2.455 | 46 |
| 63.8 | 1.460 | 42 |